Theoretical X-ray powder pattern of CdIn2Hg7Pb2 for a wavelength of 1.5418 Å, from a structure optimized by DFT (PBE).

Peak list (10 most intense, 10° ≤ 2θ ≤ 80°, by angle)
2theta  I/Imax
17.38  25.5
23.80  40.7
33.30  32.8
34.50  57.6
34.87  100.0
37.47  36.9
37.60  69.8
48.71  22.9
62.05  19.4
63.84  22.7

Cell and atoms:
Cell: 13.548 13.548 5.412 Å, 95.52 95.52 22.12°
Positions (direct):
Cd 0.000 0.000 0.000
In 0.435 0.435 0.121
In 0.558 0.558 0.212
Hg 0.119 0.119 0.230
Hg 0.311 0.311 0.026
Hg 0.372 0.372 0.552
Hg 0.496 0.496 0.651
Hg 0.620 0.620 0.761
Hg 0.685 0.685 0.321
Hg 0.882 0.882 0.884
Pb 0.246 0.246 0.467
Pb 0.749 0.749 0.879